# ErTmCl6
Computed PXRD pattern, CuKα. Input: a cell relaxed with PBE.
Neutral-atom scattering factors, no anomalous dispersion.

Crystal structure
Unit cell a=6.6692 b=6.6692 c=18.0721 alpha=90.00 beta=90.00 gamma=120.00
Space group R-3 (No. 148, hexagonal axes)
Inequivalent atoms, fractional coordinates:
Er: 0.0000 0.0000 0.0000 (multiplicity 3)
Tm: 0.0000 0.0000 0.5000 (multiplicity 3)
Cl: 0.0010 0.3565 0.2498 (multiplicity 18)

Top 10 peaks for 10 to 80 degrees two-theta, in order of falling intensity:
- 4.866 Å, intensity 100.0
- 2.235 Å, intensity 41.1
- 3.559 Å, intensity 37.8
- 2.122 Å, intensity 20.3
- 2.433 Å, intensity 19.0
- 1.925 Å, intensity 18.9
- 2.751 Å, intensity 16.9
- 1.966 Å, intensity 16.9
- 3.335 Å, intensity 16.0
- 2.917 Å, intensity 15.8

***

# ErTmCl3
Computed PXRD pattern, CuKα. Input: a cell relaxed with PBE.
Neutral-atom scattering factors, no anomalous dispersion.

Crystal structure
Unit cell a=16.795 b=3.752 c=10.544 alpha=90.00 beta=122.81 gamma=90.00
Space group C2/m (No. 12)
Inequivalent atoms, fractional coordinates:
Er: 0.138 0.000 0.288 (multiplicity 4)
Tm: 0.076 0.500 0.954 (multiplicity 4)
Cl: 0.033 0.000 0.740 (multiplicity 4)
Cl: 0.168 0.500 0.509 (multiplicity 4)
Cl: 0.213 0.000 0.115 (multiplicity 4)

Top 10 peaks for 10 to 80 degrees two-theta, in order of falling intensity:
- 8.037 Å, intensity 100.0
- 3.203 Å, intensity 53.9
- 3.020 Å, intensity 31.9
- 2.632 Å, intensity 27.8
- 2.659 Å, intensity 25.0
- 2.494 Å, intensity 22.5
- 2.349 Å, intensity 19.5
- 2.622 Å, intensity 18.6
- 2.950 Å, intensity 14.8
- 1.990 Å, intensity 14.4

***

# YErCl3
Computed PXRD pattern, CuKα. Input: a cell relaxed with PBE.
Neutral-atom scattering factors, no anomalous dispersion.

Crystal structure
Unit cell a=15.948 b=3.824 c=10.370 alpha=90.00 beta=120.57 gamma=90.00
Space group C2/m (No. 12)
Inequivalent atoms, fractional coordinates:
Y: 0.083 0.000 0.452 (multiplicity 4)
Er: 0.138 0.500 0.790 (multiplicity 4)
Cl: 0.039 0.500 0.236 (multiplicity 4)
Cl: 0.164 0.000 0.006 (multiplicity 4)
Cl: 0.224 0.500 0.620 (multiplicity 4)

Top 10 peaks for 10 to 80 degrees two-theta, in order of falling intensity:
- 7.633 Å, intensity 100.0
- 3.252 Å, intensity 57.9
- 3.053 Å, intensity 40.1
- 2.549 Å, intensity 37.9
- 2.668 Å, intensity 27.7
- 1.980 Å, intensity 24.3
- 2.438 Å, intensity 24.2
- 3.436 Å, intensity 24.0
- 2.557 Å, intensity 23.0
- 1.531 Å, intensity 18.2

***

# KEu2Cl5
Computed PXRD pattern, CuKα. Input: a cell relaxed with PBE.
Neutral-atom scattering factors, no anomalous dispersion.

Crystal structure
Unit cell a=8.880 b=7.897 c=12.770 alpha=90.00 beta=90.06 gamma=90.00
Space group P2_1/c (No. 14)
Inequivalent atoms, fractional coordinates:
K: 0.010 0.039 0.330 (multiplicity 4)
Eu: 0.251 0.567 0.494 (multiplicity 4)
Eu: 0.498 0.519 0.178 (multiplicity 4)
Cl: 0.034 0.165 0.090 (multiplicity 4)
Cl: 0.271 0.695 0.714 (multiplicity 4)
Cl: 0.284 0.550 0.997 (multiplicity 4)
Cl: 0.286 0.171 0.819 (multiplicity 4)
Cl: 0.462 0.158 0.102 (multiplicity 4)

Top 10 peaks for 10 to 80 degrees two-theta, in order of falling intensity:
- 3.747 Å, intensity 100.0
- 3.704 Å, intensity 87.9
- 3.645 Å, intensity 71.5
- 2.132 Å, intensity 64.8
- 2.680 Å, intensity 61.5
- 2.592 Å, intensity 53.2
- 2.220 Å, intensity 48.4
- 2.678 Å, intensity 48.3
- 3.948 Å, intensity 47.0
- 2.346 Å, intensity 39.4